Calculated XRD peak list of Li9Mn2Co5O16 for CuKα, from the PBE+U geometry in the Materials Project.

Structure:
```
data_Li9Mn2Co5O16
_cell_length_a 5.882
_cell_length_b 6.455
_cell_length_c 8.596
_cell_angle_alpha 82.94
_cell_angle_beta 70.69
_cell_angle_gamma 65.45
_space_group_name_H-M_alt 'P -1'
_space_group_IT_number 2
loop_
_space_group_symop_operation_xyz
'x,y,z'
'-x,-y,-z'
loop_
_atom_site_label
_atom_site_fract_x
_atom_site_fract_y
_atom_site_fract_z
Li1 0.000 0.000 0.000
Li2 0.250 0.245 0.757
Li3 0.251 0.997 0.499
Li4 0.252 0.499 0.000
Li5 0.254 0.754 0.243
Mn1 0.489 0.756 0.753
Co1 0.000 0.500 0.500
Co2 0.008 0.245 0.246
Co3 0.500 0.000 0.000
Co4 0.500 0.500 0.500
O1 0.109 0.737 0.514
O2 0.145 0.231 0.017
O3 0.145 0.472 0.260
O4 0.148 0.969 0.748
O5 0.387 0.263 0.491
O6 0.388 0.759 0.986
O7 0.391 0.508 0.739
O8 0.398 0.005 0.240
```

Top 10 peaks for 2θ from 15° to 90°, sorted by position:
- (0 1 -1), 18.51°, intensity 100
- (2 0 0), 35.29°, intensity 16
- (2 2 2), 36.73°, intensity 12
- (0 1 3), 36.84°, intensity 12
- (0 2 -2), 37.55°, intensity 8
- (2 -1 1), 42.56°, intensity 30
- (2 3 1), 44.64°, intensity 51
- (2 0 4), 47.97°, intensity 9
- (2 4 0), 58.76°, intensity 9
- (4 2 2), 63.33°, intensity 22